(1)
Diffraction record for BaTl8Hg2. The powder diffraction line list is calculated, not measured: it uses the GGA-PBE geometry in Alexandria and Cu Kα.

Peak list (10 most intense, 5° ≤ 2θ ≤ 70°, by angle)
- 21.05 deg, I = 28
- 23.05 deg, I = 29
- 26.77 deg, I = 20
- 29.21 deg, I = 15
- 32.83 deg, I = 50
- 34.89 deg, I = 22
- 35.62 deg, I = 100
- 44.52 deg, I = 15
- 50.72 deg, I = 25
- 60.44 deg, I = 18

Structure:
abc: 7.7156 7.7156 6.6576
angles: 90.00 90.00 90.00
Positions (direct):
Ba: 0.0000 0.0000 0.0000
Tl: 0.2915 0.2915 0.2488
Tl: 0.2915 0.2915 0.7512
Tl: 0.2915 0.7085 0.2488
Tl: 0.2915 0.7085 0.7512
Tl: 0.7085 0.2915 0.2488
Tl: 0.7085 0.2915 0.7512
Tl: 0.7085 0.7085 0.2488
Tl: 0.7085 0.7085 0.7512
Hg: 0.0000 0.5000 0.5000
Hg: 0.5000 0.0000 0.5000

(2)
Diffraction record for BaTl3Hg3. The powder diffraction line list is calculated, not measured: it uses the GGA-PBE geometry in Alexandria and Cu Kα.

Peak list (10 most intense, 5° ≤ 2θ ≤ 70°, by angle)
- 12.65 deg, I = 30
- 29.54 deg, I = 74
- 32.16 deg, I = 100
- 32.42 deg, I = 33
- 33.03 deg, I = 67
- 33.20 deg, I = 55
- 38.63 deg, I = 41
- 42.40 deg, I = 29
- 58.47 deg, I = 43
- 67.29 deg, I = 23

Structure:
abc: 8.5273 8.5273 8.5273
angles: 60.42 60.42 60.42
Positions (direct):
Ba: 0.1327 0.1327 0.1327
Ba: 0.8673 0.8673 0.8673
Tl: 0.1121 0.2286 0.5595
Tl: 0.2286 0.5595 0.1121
Tl: 0.4405 0.8879 0.7714
Tl: 0.5595 0.1121 0.2286
Tl: 0.7714 0.4405 0.8879
Tl: 0.8879 0.7714 0.4405
Hg: 0.2009 0.4810 0.6505
Hg: 0.3495 0.7991 0.5190
Hg: 0.4810 0.6505 0.2009
Hg: 0.5190 0.3495 0.7991
Hg: 0.6505 0.2009 0.4810
Hg: 0.7991 0.5190 0.3495